The following is a simulated X-ray powder pattern of SbRhSe4. It was derived from a crystal structure in Alexandria, relaxed with GGA-PBE, using Cu Kα X-rays.

Crystal structure
Unit cell a=12.5263 b=3.7949 c=6.5512 alpha=90.00 beta=100.01 gamma=90.00
Element x y z (fractional)
1 Sb 0.0000 0.0000 0.0000
2 Sb 0.5000 0.5000 0.0000
3 Rh 0.0000 0.5000 0.5000
4 Rh 0.5000 0.0000 0.5000
5 Se 0.1101 0.0000 0.3887
6 Se 0.1224 0.5000 0.8479
7 Se 0.3776 0.0000 0.1521
8 Se 0.3899 0.5000 0.6113
9 Se 0.6101 0.5000 0.3887
10 Se 0.6224 0.0000 0.8479
11 Se 0.8776 0.5000 0.1521
12 Se 0.8899 0.0000 0.6113

Top 6 peaks for 2θ from 10° to 90°, in order of rising 2θ:
hkl 2 0 0, 2θ 14.36, intensity 64; hkl 1 1 -1, 2θ 27.61, intensity 27; hkl 2 0 2, 2θ 33.48, intensity 100; hkl 4 0 2, 2θ 43.99, intensity 16; hkl 5 1 1, 2θ 48.09, intensity 45; hkl 8 2 0, 2θ 80.20, intensity 13